[1]
Ag9Hg2Au: calculated powder XRD pattern (copper Kα), based on a DFT-relaxed cell (PBE, Alexandria).
Neutral-atom scattering factors, no anomalous dispersion.

Peak list (6 most intense, 10 to 90 degrees two-theta, sorted by position)
(hkl)	2theta	I/Imax
1 1 3	37.0	100
2 0 0	42.6	34
0 0 6	43.8	15
2 0 6	62.8	20
3 1 3	74.3	25
1 1 9	76.0	12

Atomic structure:
Lattice parameters (Å, degrees): 4.243 4.243 12.396 90.00 90.00 90.00
Space group P4/mmm (No. 123)
Asymmetric unit:
Ag  0.000  0.000  0.000 x1
Ag  0.000  0.000  0.331 x2
Ag  0.000  0.500  0.162 x4
Ag  0.000  0.500  0.500 x2
Hg  0.500  0.500  0.331 x2
Au  0.500  0.500  0.000 x1

---

[2]
Ag10HgAu: calculated powder XRD pattern (copper Kα), based on a DFT-relaxed cell (PBE, Alexandria).
Neutral-atom scattering factors, no anomalous dispersion.

Peak list (6 most intense, 10 to 90 degrees two-theta, sorted by position)
(hkl)	2theta	I/Imax
1 1 1	26.5	45
2 0 0	37.7	44
1 1 3	37.8	100
1 2 0	38.0	70
2 2 2	54.6	27
3 2 0	68.2	22

Atomic structure:
Lattice parameters (Å, degrees): 4.774 5.459 9.509 90.00 90.00 90.00
Space group Pmmm (No. 47)
Asymmetric unit:
Ag  0.000  0.000  0.000 x1
Ag  0.000  0.248  0.253 x4
Ag  0.000  0.500  0.500 x1
Ag  0.500  0.000  0.174 x2
Ag  0.500  0.500  0.341 x2
Hg  0.500  0.500  0.000 x1
Au  0.500  0.000  0.500 x1

---

[3]
Ag5HgAu5: calculated powder XRD pattern (copper Kα), based on a DFT-relaxed cell (PBE, Alexandria).
Neutral-atom scattering factors, no anomalous dispersion.

Peak list (6 most intense, 10 to 90 degrees two-theta, sorted by position)
(hkl)	2theta	I/Imax
1 2 -1	37.6	100
2 -1 1	38.3	90
-1 2 1	38.4	92
1 -2 2	39.2	31
2 0 -2	40.6	97
1 1 2	40.8	39

Atomic structure:
Lattice parameters (Å, degrees): 5.281 5.831 7.191 103.55 95.49 97.72
Space group P-1 (No. 2)
Asymmetric unit:
Ag  0.000  0.000  0.000 x1
Ag  0.082  0.727  0.627 x2
Ag  0.483  0.732  0.925 x2
Hg  0.000  0.500  0.000 x1
Au  0.225  0.235  0.710 x2
Au  0.326  0.979  0.329 x2
Au  0.500  0.500  0.500 x1

---

[4]
Ag5Hg2Au4: calculated powder XRD pattern (copper Kα), based on a DFT-relaxed cell (PBE, Alexandria).
Neutral-atom scattering factors, no anomalous dispersion.

Peak list (6 most intense, 10 to 90 degrees two-theta, sorted by position)
(hkl)	2theta	I/Imax
2 0 0	37.1	51
1 1 4	38.6	100
1 3 0	38.8	69
0 2 4	39.1	38
2 2 4	55.0	28
3 1 4	67.9	23

Atomic structure:
Lattice parameters (Å, degrees): 4.842 7.931 11.317 90.00 90.00 90.00
Space group Immm (No. 71)
Asymmetric unit:
Ag  0.000  0.000  0.000 x2
Ag  0.000  0.170  0.239 x8
Hg  0.000  0.500  0.368 x4
Au  0.000  0.175  0.500 x4
Au  0.000  0.500  0.120 x4

---

[5]
Ag6HgAu4: calculated powder XRD pattern (copper Kα), based on a DFT-relaxed cell (PBE, Alexandria).
Neutral-atom scattering factors, no anomalous dispersion.

Peak list (6 most intense, 10 to 90 degrees two-theta, sorted by position)
(hkl)	2theta	I/Imax
1 1 1	30.5	58
2 1 0	36.6	55
0 0 2	38.3	41
2 1 1	41.5	100
2 1 2	54.0	36
1 4 2	78.9	29

Atomic structure:
Lattice parameters (Å, degrees): 7.4994 7.4994 4.6955 90.00 90.00 120.00
Space group P-6 (No. 174)
Asymmetric unit:
Ag  0.0253  0.2396  0.0000 x3
Ag  0.0830  0.4762  0.5000 x3
Hg  0.6667  0.3333  0.0000 x1
Au  0.2407  0.1966  0.5000 x3
Au  0.3333  0.6667  0.0000 x1

---

[6]
Ag4Hg2Au: calculated powder XRD pattern (copper Kα), based on a DFT-relaxed cell (PBE, Alexandria).
Neutral-atom scattering factors, no anomalous dispersion.

Peak list (6 most intense, 10 to 90 degrees two-theta, sorted by position)
(hkl)	2theta	I/Imax
1 0 -4	36.3	100
0 2 -2	36.9	48
2 -1 0	37.1	48
1 -1 4	42.4	32
-1 2 2	42.5	32
2 1 -2	42.7	32

Atomic structure:
Lattice parameters (Å, degrees): 5.160 5.167 10.521 98.80 99.45 99.07
Space group P1 (No. 1)
Asymmetric unit:
Ag  0.000  0.000  0.000 x1
Ag  0.001  0.986  0.498 x1
Ag  0.290  0.575  0.575 x1
Ag  0.442  0.856  0.361 x1
Ag  0.581  0.147  0.145 x1
Ag  0.725  0.438  0.937 x1
Ag  0.862  0.713  0.718 x1
Ag  0.865  0.715  0.219 x1
Hg  0.150  0.278  0.293 x1
Hg  0.151  0.291  0.789 x1
Hg  0.296  0.585  0.078 x1
Hg  0.574  0.138  0.638 x1
Au  0.445  0.867  0.862 x1
Au  0.726  0.436  0.432 x1

---

[7]
Ag12Hg2Au5: calculated powder XRD pattern (copper Kα), based on a DFT-relaxed cell (PBE, Alexandria).
Neutral-atom scattering factors, no anomalous dispersion.

Peak list (6 most intense, 10 to 90 degrees two-theta, sorted by position)
(hkl)	2theta	I/Imax
1 3 -1	35.8	37
4 2 -1	36.2	100
2 2 2	38.2	46
4 2 1	39.0	29
5 1 1	40.1	35
1 1 -3	40.3	27

Atomic structure:
Lattice parameters (Å, degrees): 13.224 8.147 6.987 90.00 98.17 90.00
Space group C2/m (No. 12)
Asymmetric unit:
Ag  0.053  0.000  0.227 x4
Ag  0.105  0.211  0.933 x8
Ag  0.131  0.500  0.370 x4
Ag  0.243  0.184  0.309 x8
Hg  0.000  0.266  0.500 x4
Au  0.000  0.500  0.000 x2
Au  0.152  0.000  0.611 x4
Au  0.219  0.500  0.024 x4

---

[8]
Ag5Hg4Au2: calculated powder XRD pattern (copper Kα), based on a DFT-relaxed cell (PBE, Alexandria).
Neutral-atom scattering factors, no anomalous dispersion.

Peak list (6 most intense, 10 to 90 degrees two-theta, sorted by position)
(hkl)	2theta	I/Imax
-2 1 1	36.2	26
1 -2 2	37.4	57
0 0 3	37.9	30
1 2 -1	38.2	100
-1 2 1	38.5	29
1 1 -3	39.0	32

Atomic structure:
Lattice parameters (Å, degrees): 5.484 5.813 7.536 106.53 96.31 100.50
Space group P-1 (No. 2)
Asymmetric unit:
Ag  0.000  0.000  0.000 x1
Ag  0.315  0.053  0.379 x2
Ag  0.352  0.517  0.316 x2
Hg  0.154  0.763  0.644 x2
Hg  0.421  0.752  0.024 x2
Au  0.138  0.303  0.742 x2